The following is a theoretical PXRD pattern of LiV2O3F. It was derived from DFT lattice parameters and positions (PBE+U), using Cu Kα, 1.54184 Å.

Peak list (10 most intense, 2θ = 5–70°, low angle first)
- d 4.883, I = 902
- d 4.266, I = 443
- d 2.999, I = 300
- d 2.597, I = 314
- d 2.578, I = 1000
- d 2.561, I = 432
- d 2.130, I = 551
- d 1.519, I = 332
- d 1.506, I = 317
- d 1.500, I = 310

Structural model:
```
14
Lattice="5.188 -3.013 0.000 5.188 3.013 0.000 -3.406 0.000 4.969" Properties=species:S:1:pos:R:3 pbc="T T T"
Li 0.000 0.000 0.000
Li 5.264 0.000 2.093
V -1.773 0.000 2.624
V 1.773 0.000 3.144
V 7.740 1.453 0.071
V 7.740 -1.453 0.071
O -0.088 0.000 3.806
O 2.714 1.561 3.835
O 1.871 0.000 1.204
O 5.166 0.000 4.042
O 7.088 0.000 1.360
O 2.714 -1.561 3.835
F 4.272 1.586 1.345
F 4.272 -1.586 1.345
```